Diffraction record for Hf3PaZn8. The X-ray powder pattern is calculated, not measured: it uses a DFT-relaxed cell (GGA-PBE, Alexandria) and CuKα.
Peak positions follow from Bragg's law for the DFT cell and can differ from measured ones.

Structure:
```
12
Lattice="5.320 0.000 0.000 -2.660 4.607 0.000 0.000 0.000 8.373" Properties=species:S:1:pos:R:3 pbc="T T T"
Hf 0.000 0.000 0.000
Hf 0.000 0.000 3.098
Hf 0.000 3.071 7.227
Pa 0.000 3.071 4.254
Zn -1.282 2.331 1.495
Zn 1.281 0.739 5.800
Zn 1.282 2.331 1.495
Zn 0.000 4.552 1.495
Zn 2.660 1.536 3.641
Zn 2.660 1.536 7.838
Zn 4.039 0.739 5.800
Zn 2.660 3.128 5.800
```

Main lines, by angle (15 to 90 degrees two-theta):
(hkl), 2θ/deg, Rel. int.
1 1 0, 33.70, 66
1 0 3, 37.68, 100
2 0 0, 39.11, 16
1 1 2, 40.17, 86
2 0 1, 40.62, 58
2 1 3, 62.91, 41
0 3 2, 64.65, 21
0 2 5, 69.39, 23
2 2 0, 70.85, 23
1 3 3, 83.14, 20